Starting from DFT lattice parameters and positions (PBE), the powder XRD pattern of KCe2AgS5 was calculated for Cu Kα (λ = 1.5418 Å).
No peak broadening, texture or thermal motion is included.

The 10 most intense peaks (2θ = 10–80°), most intense first:
| 2θ/deg | I (rel.) |
| --- | --- |
| 31.72 | 100 |
| 26.05 | 74 |
| 40.44 | 60 |
| 38.77 | 50 |
| 12.15 | 49 |
| 16.17 | 44 |
| 26.43 | 37 |
| 24.44 | 36 |
| 73.39 | 22 |
| 32.68 | 21 |

Atomic structure:
Unit cell a=9.116 b=9.116 c=9.116 alpha=129.69 beta=129.69 gamma=73.91
Fractional positions:
K (0.250, 0.250, 0.000)
K (0.750, 0.750, 0.000)
Ce (0.165, 0.665, 0.829)
Ce (0.335, 0.165, 0.500)
Ce (0.665, 0.835, 0.500)
Ce (0.835, 0.335, 0.171)
Ag (0.250, 0.750, 0.500)
Ag (0.750, 0.250, 0.500)
S (0.000, 0.000, 0.000)
S (0.029, 0.236, 0.500)
S (0.236, 0.736, 0.207)
S (0.264, 0.471, 0.500)
S (0.471, 0.971, 0.207)
S (0.500, 0.500, 0.000)
S (0.529, 0.029, 0.793)
S (0.736, 0.529, 0.500)
S (0.764, 0.264, 0.793)
S (0.971, 0.764, 0.500)



Starting from DFT lattice parameters and positions (PBE), the powder XRD pattern of KCeAgTe4 was calculated for Cu Kα (λ = 1.5418 Å).
No peak broadening, texture or thermal motion is included.

The 10 most intense peaks (2θ = 10–80°), most intense first:
| 2θ/deg | I (rel.) |
| --- | --- |
| 40.18 | 100 |
| 30.70 | 93 |
| 32.58 | 92 |
| 12.07 | 76 |
| 37.48 | 67 |
| 29.29 | 66 |
| 28.41 | 56 |
| 34.86 | 53 |
| 58.13 | 42 |
| 42.11 | 36 |

Atomic structure:
Unit cell a=4.489 b=21.991 c=4.488 alpha=90.00 beta=90.00 gamma=90.00
Fractional positions:
K (0.000, 0.151, 0.000)
K (0.500, 0.849, 0.500)
Ce (0.000, 0.595, 0.987)
Ce (0.500, 0.405, 0.487)
Ag (0.000, 0.000, 0.501)
Ag (0.500, 0.000, 0.001)
Te (0.000, 0.295, 0.488)
Te (0.000, 0.446, 0.987)
Te (0.000, 0.705, 0.488)
Te (0.000, 0.918, 0.001)
Te (0.500, 0.082, 0.501)
Te (0.500, 0.295, 0.988)
Te (0.500, 0.554, 0.487)
Te (0.500, 0.705, 0.988)



Starting from DFT lattice parameters and positions (PBE), the powder XRD pattern of La6CeAg5 was calculated for Cu Kα (λ = 1.5418 Å).
No peak broadening, texture or thermal motion is included.

The 10 most intense peaks (2θ = 10–80°), most intense first:
| 2θ/deg | I (rel.) |
| --- | --- |
| 32.92 | 100 |
| 58.78 | 22 |
| 32.77 | 20 |
| 47.12 | 14 |
| 58.60 | 14 |
| 58.90 | 7 |
| 47.40 | 7 |
| 69.02 | 7 |
| 78.49 | 6 |
| 78.87 | 6 |

Atomic structure:
Unit cell a=5.445 b=7.671 c=8.636 alpha=90.00 beta=108.31 gamma=90.00
Fractional positions:
La (0.000, 0.236, 0.000)
La (0.000, 0.764, 0.000)
La (0.328, 0.250, 0.656)
La (0.328, 0.750, 0.656)
La (0.672, 0.250, 0.344)
La (0.672, 0.750, 0.344)
Ce (0.500, 0.500, 0.000)
Ag (0.155, 0.500, 0.311)
Ag (0.167, 0.000, 0.335)
Ag (0.500, 0.000, 0.000)
Ag (0.833, 0.000, 0.665)
Ag (0.845, 0.500, 0.689)



Starting from DFT lattice parameters and positions (PBE), the powder XRD pattern of LaCe2Si2Ag2 was calculated for Cu Kα (λ = 1.5418 Å).
No peak broadening, texture or thermal motion is included.

The 10 most intense peaks (2θ = 10–80°), most intense first:
| 2θ/deg | I (rel.) |
| --- | --- |
| 32.39 | 100 |
| 40.72 | 77 |
| 28.22 | 32 |
| 34.76 | 28 |
| 52.96 | 24 |
| 68.89 | 22 |
| 26.51 | 21 |
| 65.54 | 19 |
| 42.74 | 13 |
| 74.11 | 13 |

Atomic structure:
Unit cell a=9.642 b=9.642 c=9.642 alpha=26.57 beta=26.57 gamma=26.57
Fractional positions:
La (0.000, 0.000, 0.000)
Ce (0.143, 0.143, 0.143)
Ce (0.857, 0.857, 0.857)
Si (0.258, 0.258, 0.258)
Si (0.742, 0.742, 0.742)
Ag (0.409, 0.409, 0.409)
Ag (0.591, 0.591, 0.591)



Starting from DFT lattice parameters and positions (PBE), the powder XRD pattern of LiCeAg was calculated for Cu Kα (λ = 1.5418 Å).
No peak broadening, texture or thermal motion is included.

The 10 most intense peaks (2θ = 10–80°), most intense first:
| 2θ/deg | I (rel.) |
| --- | --- |
| 31.92 | 100 |
| 10.10 | 66 |
| 30.34 | 58 |
| 30.49 | 57 |
| 38.23 | 40 |
| 38.36 | 39 |
| 20.28 | 25 |
| 38.12 | 24 |
| 55.82 | 21 |
| 33.57 | 21 |

Atomic structure:
Unit cell a=3.947 b=3.982 c=8.756 alpha=90.00 beta=90.00 gamma=90.00
Fractional positions:
Li (0.250, 0.250, 0.001)
Li (0.750, 0.750, 0.999)
Ce (0.250, 0.750, 0.624)
Ce (0.750, 0.250, 0.376)
Ag (0.250, 0.750, 0.224)
Ag (0.750, 0.250, 0.776)



Starting from DFT lattice parameters and positions (PBE), the powder XRD pattern of Li2CeAg2Pb2 was calculated for Cu Kα (λ = 1.5418 Å).
No peak broadening, texture or thermal motion is included.

The 10 most intense peaks (2θ = 10–80°), most intense first:
| 2θ/deg | I (rel.) |
| --- | --- |
| 26.12 | 100 |
| 37.47 | 91 |
| 34.01 | 63 |
| 44.06 | 28 |
| 22.35 | 26 |
| 46.25 | 22 |
| 47.25 | 21 |
| 60.97 | 20 |
| 51.49 | 19 |
| 65.39 | 19 |

Atomic structure:
Unit cell a=8.425 b=8.425 c=8.425 alpha=33.11 beta=33.11 gamma=33.11
Fractional positions:
Li (0.141, 0.141, 0.141)
Li (0.859, 0.859, 0.859)
Ce (0.000, 0.000, 0.000)
Ag (0.437, 0.437, 0.437)
Ag (0.563, 0.563, 0.563)
Pb (0.262, 0.262, 0.262)
Pb (0.738, 0.738, 0.738)



Starting from DFT lattice parameters and positions (PBE), the powder XRD pattern of CeMg2Ag2 was calculated for Cu Kα (λ = 1.5418 Å).
No peak broadening, texture or thermal motion is included.

The 10 most intense peaks (2θ = 10–80°), most intense first:
| 2θ/deg | I (rel.) |
| --- | --- |
| 34.59 | 100 |
| 35.78 | 94 |
| 36.99 | 82 |
| 38.75 | 41 |
| 17.21 | 39 |
| 18.14 | 31 |
| 34.23 | 27 |
| 65.07 | 25 |
| 27.16 | 23 |
| 50.35 | 18 |

Atomic structure:
Unit cell a=5.262 b=5.021 c=8.869 alpha=90.00 beta=101.79 gamma=90.00
Fractional positions:
Ce (0.190, 0.250, 0.284)
Ce (0.810, 0.750, 0.716)
Mg (0.325, 0.250, 0.673)
Mg (0.365, 0.750, 0.967)
Mg (0.635, 0.250, 0.033)
Mg (0.675, 0.750, 0.327)
Ag (0.081, 0.250, 0.919)
Ag (0.233, 0.750, 0.501)
Ag (0.767, 0.250, 0.499)
Ag (0.919, 0.750, 0.081)



Starting from DFT lattice parameters and positions (PBE), the powder XRD pattern of CeMg8Ag4 was calculated for Cu Kα (λ = 1.5418 Å).
No peak broadening, texture or thermal motion is included.

The 10 most intense peaks (2θ = 10–80°), most intense first:
| 2θ/deg | I (rel.) |
| --- | --- |
| 36.63 | 100 |
| 36.39 | 94 |
| 25.51 | 89 |
| 17.95 | 58 |
| 52.57 | 47 |
| 41.07 | 36 |
| 40.84 | 27 |
| 65.60 | 23 |
| 59.13 | 22 |
| 77.39 | 21 |

Atomic structure:
Unit cell a=7.538 b=7.538 c=7.538 alpha=98.08 beta=98.08 gamma=135.95
Fractional positions:
Ce (0.000, 0.000, 0.000)
Mg (0.000, 0.343, 0.343)
Mg (0.000, 0.657, 0.657)
Mg (0.285, 0.500, 0.785)
Mg (0.343, 0.000, 0.343)
Mg (0.500, 0.285, 0.785)
Mg (0.500, 0.715, 0.215)
Mg (0.657, 0.000, 0.657)
Mg (0.715, 0.500, 0.215)
Ag (0.000, 0.000, 0.500)
Ag (0.000, 0.500, 0.000)
Ag (0.500, 0.000, 0.000)
Ag (0.500, 0.500, 0.500)



Starting from DFT lattice parameters and positions (PBE), the powder XRD pattern of CeMg11Ag was calculated for Cu Kα (λ = 1.5418 Å).
No peak broadening, texture or thermal motion is included.

The 10 most intense peaks (2θ = 10–80°), most intense first:
| 2θ/deg | I (rel.) |
| --- | --- |
| 12.20 | 100 |
| 35.01 | 91 |
| 17.84 | 81 |
| 30.28 | 63 |
| 35.72 | 59 |
| 36.13 | 55 |
| 24.68 | 50 |
| 35.53 | 49 |
| 35.26 | 48 |
| 24.56 | 47 |

Atomic structure:
Unit cell a=7.802 b=7.802 c=7.738 alpha=97.44 beta=97.44 gamma=136.93
Fractional positions:
Ce (0.000, 0.000, 0.000)
Mg (0.000, 0.000, 0.500)
Mg (0.000, 0.500, 0.000)
Mg (0.008, 0.354, 0.356)
Mg (0.295, 0.504, 0.783)
Mg (0.354, 0.008, 0.356)
Mg (0.496, 0.705, 0.217)
Mg (0.500, 0.000, 0.000)
Mg (0.504, 0.295, 0.783)
Mg (0.646, 0.992, 0.644)
Mg (0.705, 0.496, 0.217)
Mg (0.992, 0.646, 0.644)
Ag (0.500, 0.500, 0.500)



Starting from DFT lattice parameters and positions (PBE), the powder XRD pattern of CeMg6Ag was calculated for Cu Kα (λ = 1.5418 Å).
No peak broadening, texture or thermal motion is included.

The 10 most intense peaks (2θ = 10–80°), most intense first:
| 2θ/deg | I (rel.) |
| --- | --- |
| 37.40 | 100 |
| 13.76 | 86 |
| 17.87 | 60 |
| 31.24 | 58 |
| 22.62 | 51 |
| 33.18 | 49 |
| 32.58 | 46 |
| 36.19 | 43 |
| 42.25 | 31 |
| 37.96 | 28 |

Atomic structure:
Unit cell a=4.965 b=6.078 c=12.870 alpha=90.00 beta=90.00 gamma=90.00
Fractional positions:
Ce (0.000, 0.000, 0.000)
Ce (0.000, 0.500, 0.500)
Mg (0.000, 0.245, 0.737)
Mg (0.000, 0.255, 0.237)
Mg (0.000, 0.745, 0.237)
Mg (0.000, 0.755, 0.737)
Mg (0.500, 0.000, 0.158)
Mg (0.500, 0.000, 0.591)
Mg (0.500, 0.248, 0.877)
Mg (0.500, 0.252, 0.377)
Mg (0.500, 0.500, 0.091)
Mg (0.500, 0.500, 0.658)
Mg (0.500, 0.748, 0.377)
Mg (0.500, 0.752, 0.877)
Ag (0.000, 0.000, 0.427)
Ag (0.000, 0.500, 0.927)



Starting from DFT lattice parameters and positions (PBE), the powder XRD pattern of Ce3MnAg3S8 was calculated for Cu Kα (λ = 1.5418 Å).
No peak broadening, texture or thermal motion is included.

The 10 most intense peaks (2θ = 10–80°), most intense first:
| 2θ/deg | I (rel.) |
| --- | --- |
| 32.37 | 100 |
| 27.34 | 39 |
| 44.88 | 39 |
| 47.95 | 34 |
| 56.42 | 19 |
| 16.02 | 18 |
| 74.83 | 16 |
| 79.39 | 13 |
| 54.73 | 12 |
| 67.77 | 11 |

Atomic structure:
Unit cell a=7.616 b=7.616 c=7.616 alpha=64.05 beta=64.05 gamma=64.05
Fractional positions:
Ce (0.000, 0.500, 0.500)
Ce (0.500, 0.000, 0.500)
Ce (0.500, 0.500, 0.000)
Mn (0.000, 0.000, 0.000)
Ag (0.000, 0.000, 0.500)
Ag (0.000, 0.500, 0.000)
Ag (0.500, 0.000, 0.000)
S (0.235, 0.235, 0.762)
S (0.235, 0.762, 0.235)
S (0.238, 0.765, 0.765)
S (0.250, 0.250, 0.250)
S (0.750, 0.750, 0.750)
S (0.762, 0.235, 0.235)
S (0.765, 0.238, 0.765)
S (0.765, 0.765, 0.238)



Starting from DFT lattice parameters and positions (PBE), the powder XRD pattern of Na2CeAgO4 was calculated for Cu Kα (λ = 1.5418 Å).
No peak broadening, texture or thermal motion is included.

The 10 most intense peaks (2θ = 10–80°), most intense first:
| 2θ/deg | I (rel.) |
| --- | --- |
| 19.86 | 100 |
| 34.27 | 96 |
| 55.30 | 54 |
| 29.37 | 52 |
| 35.71 | 41 |
| 42.02 | 35 |
| 53.61 | 14 |
| 64.28 | 13 |
| 56.30 | 13 |
| 69.06 | 12 |

Atomic structure:
Unit cell a=6.082 b=6.082 c=6.593 alpha=90.00 beta=90.00 gamma=90.00
Fractional positions:
Na (0.000, 0.000, 0.000)
Na (0.000, 0.500, 0.250)
Na (0.500, 0.000, 0.750)
Na (0.500, 0.500, 0.500)
Ce (0.000, 0.500, 0.750)
Ce (0.500, 0.000, 0.250)
Ag (0.000, 0.000, 0.500)
Ag (0.500, 0.500, 0.000)
O (0.184, 0.300, 0.539)
O (0.200, 0.684, 0.961)
O (0.300, 0.816, 0.461)
O (0.316, 0.200, 0.039)
O (0.684, 0.800, 0.039)
O (0.700, 0.184, 0.461)
O (0.800, 0.316, 0.961)
O (0.816, 0.700, 0.539)



Starting from DFT lattice parameters and positions (PBE), the powder XRD pattern of CeNd3Ag2 was calculated for Cu Kα (λ = 1.5418 Å).
No peak broadening, texture or thermal motion is included.

The 10 most intense peaks (2θ = 10–80°), most intense first:
| 2θ/deg | I (rel.) |
| --- | --- |
| 32.52 | 100 |
| 34.28 | 47 |
| 60.28 | 33 |
| 49.27 | 17 |
| 56.87 | 15 |
| 68.11 | 9 |
| 43.92 | 8 |
| 72.24 | 5 |
| 73.51 | 4 |
| 37.92 | 4 |

Atomic structure:
Unit cell a=3.699 b=3.699 c=12.369 alpha=90.00 beta=90.00 gamma=90.00
Fractional positions:
Ce (0.000, 0.000, 0.000)
Nd (0.500, 0.500, 0.190)
Nd (0.500, 0.500, 0.500)
Nd (0.500, 0.500, 0.810)
Ag (0.000, 0.000, 0.345)
Ag (0.000, 0.000, 0.655)



Starting from DFT lattice parameters and positions (PBE), the powder XRD pattern of CeAgP2O8 was calculated for Cu Kα (λ = 1.5418 Å).
No peak broadening, texture or thermal motion is included.

The 10 most intense peaks (2θ = 10–80°), most intense first:
| 2θ/deg | I (rel.) |
| --- | --- |
| 32.36 | 100 |
| 18.54 | 74 |
| 46.42 | 29 |
| 42.16 | 27 |
| 57.75 | 26 |
| 22.73 | 23 |
| 50.44 | 14 |
| 64.40 | 9 |
| 77.14 | 9 |
| 57.60 | 9 |

Atomic structure:
Unit cell a=5.527 b=5.527 c=6.791 alpha=90.00 beta=90.00 gamma=120.00
Fractional positions:
Ce (0.000, 0.000, 0.000)
Ag (0.000, 0.000, 0.500)
P (0.333, 0.667, 0.294)
P (0.667, 0.333, 0.706)
O (0.181, 0.362, 0.211)
O (0.181, 0.819, 0.211)
O (0.333, 0.667, 0.518)
O (0.362, 0.181, 0.789)
O (0.638, 0.819, 0.211)
O (0.667, 0.333, 0.482)
O (0.819, 0.181, 0.789)
O (0.819, 0.638, 0.789)